No. 1
The following is a computed PXRD pattern of Cs3K7Rb4. It was derived from the GGA-PBE geometry in Alexandria, using CuKα.

Atomic structure:
```
data_Cs3K7Rb4
_chemical_formula_sum 'Cs6 K14 Rb8'
_space_group_name_H-M_alt 'C 1 2/m 1'
_space_group_IT_number 12
_cell_length_a 22.8120
_cell_length_b 7.5599
_cell_length_c 18.0961
_cell_angle_alpha 90.00
_cell_angle_beta 128.07
_cell_angle_gamma 90.00
loop_
_space_group_symop_operation_xyz
'x,y,z'
'-x,-y,-z'
'-x,y,-z'
'x,-y,z'
'x+1/2,y+1/2,z'
'-x+1/2,-y+1/2,-z'
'-x+1/2,y+1/2,-z'
'x+1/2,-y+1/2,z'
loop_
_atom_site_label
_atom_site_fract_x
_atom_site_fract_y
_atom_site_fract_z
_atom_site_occupancy
Cs1 0.0000 0.0000 0.0000 1
Cs2 0.2123 0.5000 0.7469 1
K1 0.0000 0.0000 0.5000 1
K2 0.0503 0.5000 0.4083 1
K3 0.1619 0.5000 0.9890 1
K4 0.1812 0.0000 0.4413 1
Rb1 0.0781 0.0000 0.8025 1
Rb2 0.1211 0.5000 0.2233 1
```

The 10 most intense peaks (2θ from 10° to 90°), low angle first:
2θ (°), intensity, (hkl)
16.82, 18.2, 3 1 -1
18.91, 30.2, 3 1 0
19.11, 34.3, 3 1 -3
20.12, 18.1, 2 0 2
22.63, 77.9, 3 1 1
22.92, 100.0, 3 1 -4
23.40, 34.7, 6 0 -3
23.54, 52.8, 0 2 0
33.43, 27.3, 6 2 -3
41.01, 29.0, 3 3 -4

No. 2
The following is a computed PXRD pattern of Pm2NpAgSe5. It was derived from the GGA-PBE geometry in Alexandria, using CuKα.

Atomic structure:
```
data_Pm2NpAgSe5
_chemical_formula_sum 'Pm8 Np4 Ag4 Se20'
_space_group_name_H-M_alt 'C m c 21'
_space_group_IT_number 36
_cell_length_a 4.1441
_cell_length_b 17.3824
_cell_length_c 12.6057
_cell_angle_alpha 90.00
_cell_angle_beta 90.00
_cell_angle_gamma 90.00
loop_
_space_group_symop_operation_xyz
'x,y,z'
'-x,-y,z+1/2'
'-x,y,z'
'x,-y,z+1/2'
'x+1/2,y+1/2,z'
'-x+1/2,-y+1/2,z+1/2'
'-x+1/2,y+1/2,z'
'x+1/2,-y+1/2,z+1/2'
loop_
_atom_site_label
_atom_site_fract_x
_atom_site_fract_y
_atom_site_fract_z
_atom_site_occupancy
Pm1 0.0000 0.1118 0.0000 1
Pm2 0.0000 0.1259 0.6188 1
Np1 0.0000 0.1967 0.3219 1
Ag1 0.0000 0.4506 0.7731 1
Se1 0.0000 0.0455 0.3940 1
Se2 0.0000 0.2883 0.9816 1
Se3 0.0000 0.3060 0.6573 1
Se4 0.0000 0.3629 0.3147 1
Se5 0.0000 0.4975 0.0838 1
```

The 10 most intense peaks (2θ from 10° to 90°), low angle first:
2θ (°), intensity, (hkl)
23.52, 23.3, 0 2 3
26.44, 16.6, 1 3 0
30.74, 100.0, 1 1 3
31.69, 53.3, 0 6 1
36.63, 61.8, 1 5 2
39.13, 17.7, 1 3 4
40.08, 18.1, 1 5 3
43.68, 29.7, 2 0 0
44.91, 22.0, 1 3 5
54.97, 22.3, 2 6 1

No. 3
The following is a computed PXRD pattern of CeBeP2Ru. It was derived from the GGA-PBE geometry in Alexandria, using CuKα.

Atomic structure:
```
data_CeBeP2Ru
_chemical_formula_sum 'Ce2 Be2 P4 Ru2'
_space_group_name_H-M_alt 'I -4 m 2'
_space_group_IT_number 119
_space_group_name_Hall 'I -4 -2'
_cell_length_a 3.6953
_cell_length_b 3.6953
_cell_length_c 11.5030
_cell_angle_alpha 90.00
_cell_angle_beta 90.00
_cell_angle_gamma 90.00
loop_
_atom_site_label
_atom_site_fract_x
_atom_site_fract_y
_atom_site_fract_z
_atom_site_occupancy
Ce1 0.0000 0.0000 0.0000 1
Be1 0.0000 0.5000 0.2500 1
P1 0.0000 0.0000 0.3735 1
Ru1 0.0000 0.5000 0.7500 1
```

The 10 most intense peaks (2θ from 10° to 90°), low angle first:
2θ (°), intensity, (hkl)
25.32, 86.2, 1 0 1
31.10, 24.2, 0 0 4
33.68, 97.3, 1 0 3
37.82, 100.0, 1 1 2
46.50, 37.6, 1 0 5
49.32, 35.8, 2 0 0
56.24, 19.6, 2 1 1
59.83, 26.7, 1 1 6
61.06, 33.8, 2 1 3
70.11, 21.7, 2 1 5